This entry pairs a crystal structure of RbP with its theoretical PXRD pattern. Radiation: a wavelength of 1.5418 Å. Structure: a structure optimized by DFT (PBE).
No peak broadening, texture or thermal motion is included.

Cell and atoms:
Cell lengths 4.8589, 5.0965, 7.0546 Å; angles 90.00, 90.00, 90.00 degrees
Space group Immm (No. 71)
Inequivalent atoms, fractional coordinates:
Rb1 0.0000 0.0000 0.0000 [2 per cell]
P1 0.0000 0.0000 0.5000 [2 per cell]

The 8 most intense peaks (10 to 80 degrees two-theta), in order of rising 2θ:
Position (°2θ)	intensity	hkl
21.51	20	0 1 1
22.22	19	1 0 1
25.30	100	1 1 0
35.22	14	0 2 0
36.06	51	1 1 2
43.83	14	0 2 2
45.33	13	2 0 2
58.54	13	1 1 4



This entry pairs a crystal structure of ZrIN with its theoretical PXRD pattern. Radiation: a wavelength of 1.5418 Å. Structure: a structure optimized by DFT (PBE).
No peak broadening, texture or thermal motion is included.

Cell and atoms:
Cell lengths 3.7723, 4.1629, 9.8821 Å; angles 90.00, 90.00, 90.00 degrees
Space group Pmmn (No. 59, origin choice 2)
Inequivalent atoms, fractional coordinates:
Zr1 0.2500 0.2500 0.0865 [2 per cell]
I1 0.2500 0.7500 0.6785 [2 per cell]
N1 0.2500 0.7500 0.0245 [2 per cell]

The 8 most intense peaks (10 to 80 degrees two-theta), in order of rising 2θ:
Position (°2θ)	intensity	hkl
23.18	100	0 1 1
27.07	22	0 0 3
29.80	71	1 0 2
33.31	45	1 1 1
36.95	27	1 1 2
42.41	30	1 1 3
42.55	28	0 1 4
53.60	26	1 2 2



This entry pairs a crystal structure of K3Ba7Ti10O27F3 with its theoretical PXRD pattern. Radiation: a wavelength of 1.5418 Å. Structure: a structure optimized by DFT (PBE).
No peak broadening, texture or thermal motion is included.

Cell and atoms:
Cell lengths 3.9920, 3.9920, 40.8676 Å; angles 90.00, 90.00, 90.00 degrees
Space group P4mm (No. 99)
Inequivalent atoms, fractional coordinates:
K1 0.0000 0.0000 0.0000 [1 per cell]
K2 0.0000 0.0000 0.0984 [1 per cell]
K3 0.0000 0.0000 0.7993 [1 per cell]
Ba1 0.0000 0.0000 0.1985 [1 per cell]
Ba2 0.0000 0.0000 0.2992 [1 per cell]
Ba3 0.0000 0.0000 0.3993 [1 per cell]
Ba4 0.0000 0.0000 0.4992 [1 per cell]
Ba5 0.0000 0.0000 0.5993 [1 per cell]
Ba6 0.0000 0.0000 0.7000 [1 per cell]
Ba7 0.0000 0.0000 0.8992 [1 per cell]
Ti1 0.5000 0.5000 0.0493 [1 per cell]
Ti2 0.5000 0.5000 0.1521 [1 per cell]
Ti3 0.5000 0.5000 0.2500 [1 per cell]
Ti4 0.5000 0.5000 0.3495 [1 per cell]
Ti5 0.5000 0.5000 0.4492 [1 per cell]
Ti6 0.5000 0.5000 0.5490 [1 per cell]
Ti7 0.5000 0.5000 0.6485 [1 per cell]
Ti8 0.5000 0.5000 0.7466 [1 per cell]
Ti9 0.5000 0.5000 0.8510 [1 per cell]
Ti10 0.5000 0.5000 0.9470 [1 per cell]
O1 0.0000 0.5000 0.0493 [2 per cell]
O2 0.0000 0.5000 0.1506 [2 per cell]
O3 0.0000 0.5000 0.2497 [2 per cell]
O4 0.0000 0.5000 0.3494 [2 per cell]
O5 0.0000 0.5000 0.4492 [2 per cell]
O6 0.0000 0.5000 0.5492 [2 per cell]
O7 0.0000 0.5000 0.6488 [2 per cell]
O8 0.0000 0.5000 0.7481 [2 per cell]
O9 0.0000 0.5000 0.8499 [2 per cell]
O10 0.0000 0.5000 0.9483 [2 per cell]
O11 0.5000 0.5000 0.1998 [1 per cell]
O12 0.5000 0.5000 0.2994 [1 per cell]
O13 0.5000 0.5000 0.3993 [1 per cell]
O14 0.5000 0.5000 0.4992 [1 per cell]
O15 0.5000 0.5000 0.5991 [1 per cell]
O16 0.5000 0.5000 0.6989 [1 per cell]
O17 0.5000 0.5000 0.8991 [1 per cell]
F1 0.5000 0.5000 0.0996 [1 per cell]
F2 0.5000 0.5000 0.7991 [1 per cell]
F3 0.5000 0.5000 0.9991 [1 per cell]

The 8 most intense peaks (10 to 80 degrees two-theta), in order of rising 2θ:
Position (°2θ)	intensity	hkl
31.32	100	1 0 10
31.70	52	1 1 0
38.77	35	1 1 10
44.33	20	0 0 20
45.44	39	2 0 0
55.52	20	1 1 20
56.23	37	2 1 10
65.36	23	2 0 20



This entry pairs a crystal structure of NaLaZr2O6 with its theoretical PXRD pattern. Radiation: a wavelength of 1.5418 Å. Structure: a structure optimized by DFT (PBE).
No peak broadening, texture or thermal motion is included.

Cell and atoms:
Cell lengths 5.8813, 8.1771, 5.7947 Å; angles 90.00, 90.00, 90.00 degrees
Space group Imm2 (No. 44)
Inequivalent atoms, fractional coordinates:
Na1 0.0000 0.0000 0.0000 [2 per cell]
La1 0.0000 0.5000 0.9681 [2 per cell]
Zr1 0.0000 0.2473 0.4882 [4 per cell]
O1 0.0000 0.0000 0.5856 [2 per cell]
O2 0.0000 0.5000 0.3770 [2 per cell]
O3 0.2396 0.3071 0.7516 [8 per cell]

The 8 most intense peaks (10 to 80 degrees two-theta), in order of rising 2θ:
Position (°2θ)	intensity	hkl
18.58	17	1 1 0
18.77	20	0 1 1
30.40	21	2 0 0
30.79	100	1 2 1
43.87	26	2 0 2
54.25	17	3 2 1
54.83	19	1 2 3
64.12	12	2 4 2



This entry pairs a crystal structure of SrEuGaBiO6 with its theoretical PXRD pattern. Radiation: a wavelength of 1.5418 Å. Structure: a structure optimized by DFT (PBE).
No peak broadening, texture or thermal motion is included.

Cell and atoms:
Cell lengths 8.2301, 8.2301, 8.2301 Å; angles 90.00, 90.00, 90.00 degrees
Space group F-43m (No. 216)
Inequivalent atoms, fractional coordinates:
Sr1 0.0000 0.0000 0.0000 [4 per cell]
Eu1 0.0000 0.0000 0.5000 [4 per cell]
Ga1 0.2500 0.2500 0.7500 [4 per cell]
Bi1 0.2500 0.2500 0.2500 [4 per cell]
O1 0.0089 0.2500 0.7500 [24 per cell]

The 8 most intense peaks (10 to 80 degrees two-theta), in order of rising 2θ:
Position (°2θ)	intensity	hkl
18.67	18	1 1 1
30.73	100	2 2 0
36.20	12	3 1 1
44.01	30	4 0 0
48.20	6	3 3 1
54.63	41	4 2 2
63.99	19	4 4 0
72.66	18	6 2 0



This entry pairs a crystal structure of CaInAu with its theoretical PXRD pattern. Radiation: a wavelength of 1.5418 Å. Structure: a structure optimized by DFT (PBE).
No peak broadening, texture or thermal motion is included.

Cell and atoms:
Cell lengths 7.4701, 4.6743, 8.5082 Å; angles 90.00, 90.00, 90.00 degrees
Space group Pnma (No. 62)
Inequivalent atoms, fractional coordinates:
Ca1 0.0216 0.2500 0.1857 [4 per cell]
In1 0.1611 0.2500 0.5654 [4 per cell]
Au1 0.2271 0.7500 0.3828 [4 per cell]

The 8 most intense peaks (10 to 80 degrees two-theta), in order of rising 2θ:
Position (°2θ)	intensity	hkl
21.69	75	0 1 1
23.82	62	2 0 0
24.07	41	1 0 2
32.44	100	2 1 1
37.08	82	0 1 3
38.52	58	0 2 0
39.06	42	1 1 3
44.55	43	2 1 3



Question: Number 2 is which compound?
Answer: ZrIN